The following is a simulated powder diffractogram of Li6Ir4O11. It was derived from a cell relaxed with GGA-PBE, using λ = 1.5418 Å (Cu Kα).

Top 10 peaks for 10 to 90 degrees two-theta, low angle first:
2theta	I_rel
18.4	100
20.7	22
21.1	17
24.0	22
35.7	18
36.3	15
37.0	16
43.4	17
44.1	16
44.3	16

Structure:
Cell: 4.916 5.052 8.888 Å, 75.15 88.11 80.94°
Atoms (fractional coordinates):
Li: 0.000 0.000 0.000
Li: 0.002 0.006 0.666
Li: 0.239 0.493 0.592
Li: 0.505 0.009 0.151
Li: 0.509 0.004 0.514
Li: 0.755 0.504 0.082
Ir: 0.241 0.508 0.270
Ir: 0.273 0.507 0.911
Ir: 0.724 0.504 0.756
Ir: 0.753 0.501 0.403
O: 0.098 0.284 0.788
O: 0.136 0.257 0.467
O: 0.138 0.288 0.104
O: 0.362 0.756 0.703
O: 0.370 0.723 0.065
O: 0.599 0.268 0.287
O: 0.621 0.291 0.604
O: 0.634 0.251 0.960
O: 0.855 0.720 0.555
O: 0.871 0.758 0.212
O: 0.897 0.726 0.879


The following is a simulated powder diffractogram of Li6Ir2O7. It was derived from a cell relaxed with GGA-PBE, using λ = 1.5418 Å (Cu Kα).

Top 10 peaks for 10 to 90 degrees two-theta, low angle first:
2theta	I_rel
15.8	100
17.8	45
23.5	17
24.4	30
28.0	22
28.9	20
31.1	20
31.8	18
37.9	20
43.5	16

Structure:
Cell: 5.042 5.079 5.878 Å, 72.85 89.63 80.64°
Atoms (fractional coordinates):
Li: 0.077 0.270 0.441
Li: 0.364 0.702 0.316
Li: 0.369 0.722 0.827
Li: 0.631 0.278 0.173
Li: 0.636 0.298 0.684
Li: 0.923 0.730 0.559
Ir: 0.130 0.238 0.936
Ir: 0.870 0.762 0.064
O: 0.006 0.996 0.744
O: 0.228 0.490 0.122
O: 0.263 0.472 0.636
O: 0.500 0.000 0.000
O: 0.737 0.528 0.364
O: 0.772 0.510 0.878
O: 0.994 0.004 0.256


The following is a simulated powder diffractogram of Li7IrO6. It was derived from a cell relaxed with GGA-PBE, using λ = 1.5418 Å (Cu Kα).

Top 10 peaks for 10 to 90 degrees two-theta, low angle first:
2theta	I_rel
17.8	100
21.9	44
28.4	66
36.2	24
38.5	11
42.7	33
44.6	15
48.5	17
55.5	16
58.9	15

Structure:
Cell: 5.233 5.233 5.233 Å, 101.42 101.42 101.42°
Atoms (fractional coordinates):
Li: 0.000 0.000 0.000
Li: 0.160 0.500 0.840
Li: 0.160 0.840 0.500
Li: 0.500 0.160 0.840
Li: 0.500 0.840 0.160
Li: 0.840 0.160 0.500
Li: 0.840 0.500 0.160
Ir: 0.500 0.500 0.500
O: 0.221 0.221 0.572
O: 0.221 0.572 0.221
O: 0.428 0.779 0.779
O: 0.572 0.221 0.221
O: 0.779 0.428 0.779
O: 0.779 0.779 0.428